[1]
Structure and computed PXRD pattern of In3Se (a GGA-PBE-relaxed structure; Cu Kα X-rays).
Lines closer than 0.1° are merged.

Crystal structure
```
In3Se
1.0
6.1570 0.0000 0.0000
0.0000 9.3685 0.0000
0.0000 0.0000 3.9022
In Se
6 2
Cartesian
0.0000 0.0000 0.0000
0.0000 2.5505 1.9511
0.0000 6.8180 1.9511
3.0785 2.1338 1.9511
3.0785 4.6842 0.0000
3.0785 7.2347 1.9511
0.0000 4.6842 0.0000
3.0785 0.0000 0.0000
```

The 10 most intense peaks (2θ from 10° to 90°), most intense first:
(0 2 1), 29.80°, rel. 100; (2 2 1), 42.07°, rel. 77; (2 0 0), 29.00°, rel. 56; (0 4 0), 38.43°, rel. 22; (2 4 0), 48.86°, rel. 22; (4 2 1), 68.53°, rel. 17; (2 0 2), 55.78°, rel. 17; (0 0 2), 46.55°, rel. 15; (2 4 2), 69.78°, rel. 14; (2 6 1), 72.00°, rel. 11

[2]
Structure and computed PXRD pattern of InSe3 (a GGA-PBE-relaxed structure; Cu Kα X-rays).
Lines closer than 0.1° are merged.

Crystal structure
```
InSe3
1.0
3.7888 0.0000 0.0000
0.0000 3.7888 0.0000
0.0000 0.0000 7.7111
In Se
1 3
Cartesian
0.0000 0.0000 0.0000
0.0000 1.8944 2.7218
1.8944 0.0000 2.7218
1.8944 1.8944 6.7916
```

The 10 most intense peaks (2θ from 10° to 90°), most intense first:
(1 1 1), 35.47°, rel. 100; (0 0 2), 23.07°, rel. 44; (0 0 1), 11.48°, rel. 41; (2 0 0), 48.03°, rel. 25; (1 0 2), 33.15°, rel. 21; (1 1 2), 41.02°, rel. 21; (1 0 3), 42.50°, rel. 18; (3 1 1), 81.26°, rel. 18; (2 0 2), 53.93°, rel. 17; (1 0 1), 26.21°, rel. 13